# LiMn2P3O10
Computed powder XRD pattern, a wavelength of 1.5418 Å. Input: the GGA+U geometry in Alexandria.
Neutral-atom scattering factors, no anomalous dispersion.

Most intense lines, 2θ = 10–90°, most intense first:
- 3.205 Å, intensity 100
- 2.719 Å, intensity 39
- 2.905 Å, intensity 32
- 3.610 Å, intensity 28
- 3.500 Å, intensity 27
- 2.510 Å, intensity 21
- 4.401 Å, intensity 19
- 1.641 Å, intensity 18

abc: 4.705 8.818 9.235
angles: 90.00 97.37 90.00
Space group P2_1/m (No. 11)
Asymmetric unit:
1 Li 0.000 0.000 0.000 [2 per cell]
2 Mn 0.034 0.065 0.332 [4 per cell]
3 P 0.329 0.250 0.824 [2 per cell]
4 P 0.402 0.750 0.463 [2 per cell]
5 P 0.456 0.250 0.138 [2 per cell]
6 O 0.158 0.104 0.818 [4 per cell]
7 O 0.231 0.605 0.482 [4 per cell]
8 O 0.252 0.750 0.767 [2 per cell]
9 O 0.282 0.105 0.150 [4 per cell]
10 O 0.302 0.250 0.447 [2 per cell]
11 O 0.448 0.750 0.028 [2 per cell]
12 O 0.448 0.750 0.291 [2 per cell]